(1)
# BaNd2BeO5
Computed powder X-ray diffraction pattern, copper Kα. Input: a cell relaxed with GGA-PBE.
Lines closer than 0.1° are merged.

Largest 8 diffraction maxima, sorted by position, 10 to 90 degrees two-theta:
27.86°, intensity 32
28.68°, intensity 29
28.90°, intensity 28
29.83°, intensity 23
30.26°, intensity 100
36.91°, intensity 16
37.09°, intensity 20
38.91°, intensity 15

Structure:
```
BaNd2BeO5
1.0
7.461 0.000 0.000
0.000 6.772 0.000
-0.142 0.000 9.853
Ba Nd Be O
4 8 4 20
Direct
0.020 0.082 0.327 Ba
0.020 0.418 0.827 Ba
0.980 0.582 0.173 Ba
0.980 0.918 0.673 Ba
0.257 0.591 0.479 Nd
0.257 0.909 0.979 Nd
0.479 0.083 0.324 Nd
0.479 0.417 0.824 Nd
0.521 0.583 0.176 Nd
0.521 0.917 0.676 Nd
0.743 0.091 0.021 Nd
0.743 0.409 0.521 Nd
0.262 0.193 0.597 Be
0.262 0.307 0.097 Be
0.738 0.693 0.903 Be
0.738 0.807 0.403 Be
0.069 0.192 0.062 O
0.069 0.308 0.562 O
0.280 0.131 0.768 O
0.280 0.369 0.268 O
0.281 0.518 0.010 O
0.281 0.982 0.510 O
0.285 0.665 0.715 O
0.285 0.835 0.215 O
0.441 0.179 0.066 O
0.441 0.321 0.566 O
0.559 0.679 0.434 O
0.559 0.821 0.934 O
0.715 0.165 0.785 O
0.715 0.335 0.285 O
0.719 0.018 0.490 O
0.719 0.482 0.990 O
0.720 0.631 0.732 O
0.720 0.869 0.232 O
0.931 0.692 0.438 O
0.931 0.808 0.938 O
```

***

(2)
# BaNaNdGe3O9
Computed powder X-ray diffraction pattern, copper Kα. Input: a cell relaxed with GGA-PBE.
Lines closer than 0.1° are merged.

Largest 8 diffraction maxima, sorted by position, 10 to 90 degrees two-theta:
21.55°, intensity 39
22.23°, intensity 48
26.46°, intensity 42
27.31°, intensity 60
27.93°, intensity 87
30.39°, intensity 100
30.86°, intensity 65
34.13°, intensity 37

Structure:
```
BaNaNdGe3O9
1.0
5.944 0.000 0.000
0.000 11.872 0.000
0.000 0.000 13.064
Ba Na Nd Ge O
4 4 4 12 36
Direct
0.107 0.114 0.082 Ba
0.393 0.886 0.582 Ba
0.607 0.386 0.918 Ba
0.893 0.614 0.418 Ba
0.062 0.779 0.114 Na
0.438 0.221 0.614 Na
0.562 0.721 0.886 Na
0.938 0.279 0.386 Na
0.117 0.464 0.142 Nd
0.383 0.536 0.642 Nd
0.617 0.036 0.858 Nd
0.883 0.964 0.358 Nd
0.098 0.860 0.861 Ge
0.101 0.590 0.884 Ge
0.108 0.204 0.812 Ge
0.392 0.796 0.312 Ge
0.399 0.410 0.384 Ge
0.402 0.140 0.361 Ge
0.598 0.640 0.139 Ge
0.601 0.910 0.116 Ge
0.608 0.296 0.188 Ge
0.892 0.704 0.688 Ge
0.899 0.090 0.616 Ge
0.902 0.360 0.639 Ge
0.001 0.493 0.971 O
0.040 0.461 0.566 O
0.114 0.334 0.738 O
0.117 0.731 0.938 O
0.124 0.100 0.710 O
0.132 0.117 0.312 O
0.139 0.697 0.617 O
0.142 0.437 0.323 O
0.145 0.811 0.382 O
0.355 0.189 0.882 O
0.358 0.563 0.823 O
0.361 0.303 0.117 O
0.368 0.883 0.812 O
0.376 0.900 0.210 O
0.383 0.269 0.438 O
0.386 0.666 0.238 O
0.460 0.539 0.066 O
0.499 0.507 0.471 O
0.501 0.007 0.029 O
0.540 0.039 0.434 O
0.614 0.166 0.262 O
0.617 0.769 0.062 O
0.624 0.400 0.290 O
0.632 0.383 0.688 O
0.639 0.803 0.383 O
0.642 0.063 0.677 O
0.645 0.689 0.618 O
0.855 0.311 0.118 O
0.858 0.937 0.177 O
0.861 0.197 0.883 O
0.868 0.617 0.188 O
0.876 0.600 0.790 O
0.883 0.231 0.562 O
0.886 0.834 0.762 O
0.960 0.961 0.934 O
0.999 0.993 0.529 O
```

***

(3)
# Cs5Te3
Computed powder X-ray diffraction pattern, copper Kα. Input: a cell relaxed with GGA-PBE.
Lines closer than 0.1° are merged.

Largest 8 diffraction maxima, sorted by position, 10 to 90 degrees two-theta:
24.60°, intensity 80
26.37°, intensity 89
27.33°, intensity 100
27.55°, intensity 52
30.03°, intensity 33
34.31°, intensity 34
42.25°, intensity 26
45.32°, intensity 26

Structure:
```
Cs5Te3
1.0
-7.558 7.558 3.582
7.558 -7.558 3.582
7.558 7.558 -3.582
Cs Te
10 6
Direct
0.088 0.219 0.306 Cs
0.219 0.912 0.131 Cs
0.250 0.750 0.500 Cs
0.276 0.410 0.685 Cs
0.410 0.724 0.134 Cs
0.590 0.276 0.866 Cs
0.724 0.590 0.315 Cs
0.750 0.250 0.500 Cs
0.781 0.088 0.869 Cs
0.912 0.781 0.694 Cs
0.155 0.657 0.812 Te
0.302 0.302 0.000 Te
0.343 0.155 0.498 Te
0.657 0.845 0.502 Te
0.698 0.698 0.000 Te
0.845 0.343 0.188 Te
```

***

(4)
# Sm3Sb14Te24
Computed powder X-ray diffraction pattern, copper Kα. Input: a cell relaxed with GGA-PBE.
Lines closer than 0.1° are merged.

Largest 8 diffraction maxima, sorted by position, 10 to 90 degrees two-theta:
28.63°, intensity 93
28.80°, intensity 99
29.06°, intensity 100
29.23°, intensity 91
29.43°, intensity 82
29.58°, intensity 93
34.23°, intensity 47
34.47°, intensity 47

Structure:
```
Sm3Sb14Te24
1.0
8.136 0.000 0.000
-2.607 7.962 0.000
-2.567 -3.637 21.147
Sm Sb Te
3 14 24
Direct
0.000 0.000 0.000 Sm
0.066 0.444 0.277 Sm
0.700 0.943 0.168 Sm
0.179 0.976 0.242 Sb
0.206 0.066 0.478 Sb
0.301 0.596 0.462 Sb
0.342 0.705 0.942 Sb
0.357 0.844 0.755 Sb
0.463 0.308 0.116 Sb
0.568 0.279 0.885 Sb
0.598 0.664 0.315 Sb
0.678 0.005 0.613 Sb
0.763 0.217 0.440 Sb
0.842 0.760 0.773 Sb
0.901 0.651 0.586 Sb
0.971 0.553 0.050 Sb
0.976 0.282 0.802 Sb
0.033 0.024 0.707 Te
0.034 0.550 0.710 Te
0.054 0.309 0.541 Te
0.076 0.185 0.154 Te
0.230 0.372 0.000 Te
0.252 0.987 0.881 Te
0.265 0.873 0.574 Te
0.327 0.932 0.079 Te
0.356 0.826 0.367 Te
0.377 0.365 0.358 Te
0.388 0.641 0.198 Te
0.412 0.538 0.828 Te
0.556 0.692 0.667 Te
0.562 0.307 0.531 Te
0.609 0.242 0.750 Te
0.640 0.264 0.238 Te
0.693 0.725 0.038 Te
0.712 0.221 0.031 Te
0.728 0.824 0.500 Te
0.767 0.017 0.873 Te
0.899 0.666 0.196 Te
0.926 0.057 0.313 Te
0.935 0.546 0.405 Te
0.953 0.617 0.917 Te
```